No. 1
Starting from the GGA-PBE geometry in Alexandria, the XRD peak list of Cd3InHg4 was simulated for CuKα.

Top 8 peaks for 2θ = 5–70°, low angle first:
2theta, intensity
33.5, 100
33.8, 98
35.2, 44
40.8, 60
55.0, 48
62.1, 17
62.3, 17
69.5, 24

Crystal structure
```
Cd3InHg4
1.0
10.193 0.000 0.000
0.000 6.216 0.000
0.000 0.000 6.285
Cd In Hg
6 2 8
direct
0.000 0.001 0.000 Cd
0.250 0.243 0.746 Cd
0.250 0.757 0.246 Cd
0.500 0.999 0.500 Cd
0.750 0.243 0.746 Cd
0.750 0.757 0.246 Cd
0.000 0.500 0.499 In
0.500 0.500 0.999 In
0.000 0.502 0.997 Hg
0.000 0.999 0.501 Hg
0.248 0.252 0.246 Hg
0.252 0.748 0.746 Hg
0.500 0.001 0.001 Hg
0.500 0.498 0.497 Hg
0.748 0.748 0.746 Hg
0.752 0.252 0.246 Hg
```

***

No. 2
Starting from the GGA-PBE geometry in Alexandria, the XRD peak list of CdIn4Hg6 was simulated for CuKα.

Top 8 peaks for 2θ = 5–70°, low angle first:
2theta, intensity
23.9, 40
25.0, 100
33.6, 30
35.0, 40
35.4, 24
36.4, 62
39.3, 44
39.9, 40

Crystal structure
```
CdIn4Hg6
1.0
-2.832 5.001 5.700
2.832 -5.001 5.700
2.832 5.001 -5.700
Cd In Hg
1 4 6
direct
0.000 0.000 0.000 Cd
0.184 0.186 0.534 In
0.347 0.814 0.997 In
0.653 0.650 0.466 In
0.816 0.350 0.003 In
0.000 0.500 0.500 Hg
0.188 0.495 0.099 Hg
0.396 0.089 0.901 Hg
0.500 0.000 0.500 Hg
0.604 0.505 0.693 Hg
0.812 0.911 0.307 Hg
```

***

No. 3
Starting from the GGA-PBE geometry in Alexandria, the XRD peak list of Cd6In5Hg2 was simulated for CuKα.

Top 8 peaks for 2θ = 5–70°, low angle first:
2theta, intensity
31.3, 12
32.7, 100
34.3, 21
37.2, 12
39.2, 14
40.0, 12
43.3, 21
50.3, 8

Crystal structure
```
Cd6In5Hg2
1.0
11.416 0.000 0.000
0.000 14.083 0.000
0.000 0.000 4.183
Cd In Hg
12 10 4
direct
0.102 0.105 0.000 Cd
0.185 0.445 0.000 Cd
0.205 0.627 0.500 Cd
0.295 0.127 0.500 Cd
0.315 0.945 0.000 Cd
0.398 0.605 0.000 Cd
0.602 0.395 0.000 Cd
0.685 0.055 0.000 Cd
0.705 0.873 0.500 Cd
0.795 0.373 0.500 Cd
0.815 0.555 0.000 Cd
0.898 0.895 0.000 Cd
0.000 0.500 0.500 In
0.100 0.286 0.500 In
0.112 0.931 0.500 In
0.388 0.431 0.500 In
0.400 0.786 0.500 In
0.500 0.000 0.500 In
0.600 0.214 0.500 In
0.612 0.569 0.500 In
0.888 0.069 0.500 In
0.900 0.714 0.500 In
0.120 0.763 0.000 Hg
0.380 0.263 0.000 Hg
0.620 0.737 0.000 Hg
0.880 0.237 0.000 Hg
```